No. 1
Diffraction record for NaTiS2. The powder X-ray diffraction pattern is simulated, not measured: it uses a crystal structure in Alexandria, relaxed with GGA-PBE and Cu Kα (weighted mean of Kα1 and Kα2).
Peak positions follow from Bragg's law for the DFT cell and can differ from measured ones.

Main lines, in order of rising 2θ (10 to 80 degrees two-theta):
2theta, intensity, index
12.95, 46.2, 0 0 1
29.23, 16.1, 1 0 0
32.09, 56.2, 1 0 1
39.56, 100.0, 1 0 2
49.93, 16.0, 0 1 3
51.83, 36.2, 1 1 0
53.65, 11.7, 0 0 4
62.26, 17.7, 0 1 4
67.11, 18.7, 0 2 2
77.82, 12.0, 1 1 4

Crystal structure
```
data_NaTiS2
_cell_length_a 3.5282
_cell_length_b 3.5282
_cell_length_c 6.8348
_cell_angle_alpha 90.00
_cell_angle_beta 90.00
_cell_angle_gamma 120.00
_space_group_name_H-M_alt 'P -3 m 1'
_space_group_IT_number 164
_space_group_name_Hall '-P 3 2"'
loop_
_atom_site_label
_atom_site_fract_x
_atom_site_fract_y
_atom_site_fract_z
Na1 0.0000 0.0000 0.0000
Ti1 0.0000 0.0000 0.5000
S1 0.3333 0.6667 0.2897
```

***

No. 2
Diffraction record for ErTe2PbO8. The powder X-ray diffraction pattern is simulated, not measured: it uses a crystal structure in Alexandria, relaxed with GGA-PBE and Cu Kα (weighted mean of Kα1 and Kα2).
Peak positions follow from Bragg's law for the DFT cell and can differ from measured ones.

Main lines, in order of rising 2θ (10 to 80 degrees two-theta):
2theta, intensity, index
16.92, 59.9, 1 0 0
20.95, 65.7, 0 1 1
29.52, 98.2, 1 1 0
30.08, 100.0, 1 0 2
42.65, 52.0, 0 2 2
52.38, 19.9, 3 0 0
52.72, 46.1, 2 1 2
59.69, 22.6, 1 1 4
61.28, 16.9, 2 2 0
69.76, 19.5, 1 3 2

Crystal structure
```
data_ErTe2PbO8
_cell_length_a 6.0509
_cell_length_b 6.0509
_cell_length_c 7.2144
_cell_angle_alpha 90.00
_cell_angle_beta 90.00
_cell_angle_gamma 120.00
_space_group_name_H-M_alt 'P -3 m 1'
_space_group_IT_number 164
_space_group_name_Hall '-P 3 2"'
loop_
_atom_site_label
_atom_site_fract_x
_atom_site_fract_y
_atom_site_fract_z
Er1 0.0000 0.0000 0.0000
Te1 0.3333 0.6667 0.2782
Pb1 0.0000 0.0000 0.5000
O1 0.1584 0.3168 0.2066
O2 0.3333 0.6667 0.5318
```

***

No. 3
Diffraction record for ScTlAgTe3. The powder X-ray diffraction pattern is simulated, not measured: it uses a crystal structure in Alexandria, relaxed with GGA-PBE and Cu Kα (weighted mean of Kα1 and Kα2).
Peak positions follow from Bragg's law for the DFT cell and can differ from measured ones.

Main lines, in order of rising 2θ (10 to 80 degrees two-theta):
2theta, intensity, index
10.27, 32.0, 1 0 0
27.89, 70.1, 1 1 -2
29.13, 92.5, 2 1 -1
29.94, 100.0, 2 1 0
32.72, 48.4, 1 0 3
33.83, 39.6, 1 1 -3
35.18, 38.2, 0 1 3
39.62, 37.3, 4 0 -1
41.95, 39.8, 2 1 -4
43.75, 45.9, 0 2 0

Crystal structure
```
data_ScTlAgTe3
_cell_length_a 9.178
_cell_length_b 4.139
_cell_length_c 10.355
_cell_angle_alpha 90.00
_cell_angle_beta 110.19
_cell_angle_gamma 90.00
_space_group_name_H-M_alt 'P 1 21/m 1'
_space_group_IT_number 11
loop_
_space_group_symop_operation_xyz
'x,y,z'
'-x,-y,-z'
'-x,y+1/2,-z'
'x,-y+1/2,z'
loop_
_atom_site_label
_atom_site_fract_x
_atom_site_fract_y
_atom_site_fract_z
Sc1 0.177 0.250 0.156
Tl1 0.297 0.750 0.749
Ag1 0.423 0.750 0.399
Te1 0.054 0.250 0.852
Te2 0.243 0.250 0.456
Te3 0.385 0.750 0.119
```

***

No. 4
Diffraction record for Tb8Tl4CS3. The powder X-ray diffraction pattern is simulated, not measured: it uses a crystal structure in Alexandria, relaxed with GGA-PBE and Cu Kα (weighted mean of Kα1 and Kα2).
Peak positions follow from Bragg's law for the DFT cell and can differ from measured ones.

Main lines, in order of rising 2θ (10 to 80 degrees two-theta):
2theta, intensity, index
27.13, 23.9, 4 0 -1
30.87, 100.0, 2 2 -2
32.90, 27.4, 2 2 1
33.00, 13.5, 4 0 -3
34.01, 21.0, 0 0 3
40.76, 20.0, 2 2 2
47.37, 11.7, 0 4 0
47.47, 22.5, 6 2 -2
57.63, 26.4, 4 0 3
59.60, 15.9, 6 2 1

Crystal structure
```
data_Tb8Tl4CS3
_cell_length_a 13.260
_cell_length_b 7.676
_cell_length_c 9.051
_cell_angle_alpha 90.00
_cell_angle_beta 119.10
_cell_angle_gamma 90.00
_space_group_name_H-M_alt 'C 1 2/m 1'
_space_group_IT_number 12
loop_
_space_group_symop_operation_xyz
'x,y,z'
'-x,-y,-z'
'-x,y,-z'
'x,-y,z'
'x+1/2,y+1/2,z'
'-x+1/2,-y+1/2,-z'
'-x+1/2,y+1/2,-z'
'x+1/2,-y+1/2,z'
loop_
_atom_site_label
_atom_site_fract_x
_atom_site_fract_y
_atom_site_fract_z
Tb1 0.014 0.230 0.312
Tb2 0.216 0.000 0.688
Tb3 0.234 0.500 0.703
Tl1 0.000 0.000 0.000
Tl2 0.000 0.500 0.000
Tl3 0.250 0.250 0.000
C1 0.000 0.000 0.500
S1 0.000 0.500 0.500
S2 0.250 0.250 0.500
```

***

No. 5
Diffraction record for Y2OsO. The powder X-ray diffraction pattern is simulated, not measured: it uses a crystal structure in Alexandria, relaxed with GGA-PBE and Cu Kα (weighted mean of Kα1 and Kα2).
Peak positions follow from Bragg's law for the DFT cell and can differ from measured ones.

Main lines, in order of rising 2θ (10 to 80 degrees two-theta):
2theta, intensity, index
17.83, 33.5, 1 0 1
30.28, 100.0, 1 1 2
32.81, 67.4, 2 1 1
37.75, 19.6, 1 0 3
39.01, 38.6, 2 2 0
43.20, 23.3, 3 0 1
50.16, 37.7, 3 1 2
55.53, 32.2, 2 0 4
62.86, 17.1, 3 2 3
73.55, 11.8, 4 3 1

Crystal structure
```
data_Y2OsO
_cell_length_a 6.531
_cell_length_b 6.531
_cell_length_c 7.678
_cell_angle_alpha 90.00
_cell_angle_beta 90.00
_cell_angle_gamma 90.00
_space_group_name_H-M_alt 'I -4 2 d'
_space_group_IT_number 122
_space_group_name_Hall 'I -4 2bw'
loop_
_atom_site_label
_atom_site_fract_x
_atom_site_fract_y
_atom_site_fract_z
Y1 0.184 0.250 0.125
Os1 0.000 0.000 0.500
O1 0.000 0.000 0.000
```

***

No. 6
Diffraction record for LaZn12Ni6. The powder X-ray diffraction pattern is simulated, not measured: it uses a crystal structure in Alexandria, relaxed with GGA-PBE and Cu Kα (weighted mean of Kα1 and Kα2).
Peak positions follow from Bragg's law for the DFT cell and can differ from measured ones.

Main lines, in order of rising 2θ (10 to 80 degrees two-theta):
2theta, intensity, index
27.13, 30.3, 2 1 1
32.83, 23.6, 1 2 2
35.77, 60.9, 1 1 3
35.92, 100.0, 1 3 1
40.51, 23.4, 3 1 2
43.01, 38.6, 0 3 3
43.14, 36.2, 3 2 1
46.97, 46.0, 0 2 4
47.14, 25.0, 2 3 2
53.13, 47.3, 5 0 2

Crystal structure
```
data_LaZn12Ni6
_cell_length_a 10.8927
_cell_length_b 10.8927
_cell_length_c 8.4850
_cell_angle_alpha 90.00
_cell_angle_beta 90.00
_cell_angle_gamma 120.00
_space_group_name_H-M_alt 'R -3 m'
_space_group_IT_number 166
_space_group_name_Hall '-R 3 2"'
loop_
_atom_site_label
_atom_site_fract_x
_atom_site_fract_y
_atom_site_fract_z
La1 0.0000 0.0000 0.0000
Zn1 0.0000 0.3846 0.5000
Zn2 0.0888 0.1776 0.3209
Ni1 0.0497 0.5248 0.2537
```

***

No. 7
Diffraction record for TmMg6Cu6. The powder X-ray diffraction pattern is simulated, not measured: it uses a crystal structure in Alexandria, relaxed with GGA-PBE and Cu Kα (weighted mean of Kα1 and Kα2).
Peak positions follow from Bragg's law for the DFT cell and can differ from measured ones.

Main lines, in order of rising 2θ (10 to 80 degrees two-theta):
2theta, intensity, index
13.70, 41.2, 0 1 1
19.55, 24.9, 0 2 0
27.62, 34.4, 0 2 2
27.75, 38.3, 1 2 1
39.20, 26.0, 0 0 4
39.43, 40.5, 1 2 3
39.63, 100.0, 0 4 0
39.75, 21.4, 2 2 0
44.56, 21.0, 2 2 2
57.33, 21.7, 2 4 2

Crystal structure
```
data_TmMg6Cu6
_cell_length_a 5.233
_cell_length_b 9.089
_cell_length_c 9.192
_cell_angle_alpha 90.00
_cell_angle_beta 90.00
_cell_angle_gamma 90.00
_space_group_name_H-M_alt 'I m m m'
_space_group_IT_number 71
_space_group_name_Hall '-I 2 2'
loop_
_atom_site_label
_atom_site_fract_x
_atom_site_fract_y
_atom_site_fract_z
Tm1 0.000 0.000 0.000
Mg1 0.000 0.000 0.345
Mg2 0.000 0.337 0.000
Mg3 0.000 0.500 0.312
Cu1 0.000 0.271 0.500
Cu2 0.250 0.250 0.250
```

***

No. 8
Diffraction record for CeThGaGe. The powder X-ray diffraction pattern is simulated, not measured: it uses a crystal structure in Alexandria, relaxed with GGA-PBE and Cu Kα (weighted mean of Kα1 and Kα2).
Peak positions follow from Bragg's law for the DFT cell and can differ from measured ones.

Main lines, in order of rising 2θ (10 to 80 degrees two-theta):
2theta, intensity, index
27.04, 29.7, 1 0 2
30.78, 100.0, 1 1 1
31.34, 43.1, 0 1 3
32.06, 27.6, 0 0 4
38.47, 47.4, 1 1 3
39.08, 17.2, 1 0 4
40.58, 24.8, 0 2 0
44.34, 19.3, 2 0 0
55.30, 17.7, 2 1 3
61.66, 14.5, 2 2 0

Crystal structure
```
data_CeThGaGe
_cell_length_a 4.086
_cell_length_b 4.446
_cell_length_c 11.167
_cell_angle_alpha 90.00
_cell_angle_beta 90.00
_cell_angle_gamma 90.00
_space_group_name_H-M_alt 'A m m 2'
_space_group_IT_number 38
loop_
_space_group_symop_operation_xyz
'x,y,z'
'-x,-y,z'
'-x,y,z'
'x,-y,z'
'x,y+1/2,z+1/2'
'-x,-y+1/2,z+1/2'
'-x,y+1/2,z+1/2'
'x,-y+1/2,z+1/2'
loop_
_atom_site_label
_atom_site_fract_x
_atom_site_fract_y
_atom_site_fract_z
Ce1 0.000 0.000 0.000
Th1 0.500 0.000 0.281
Ga1 0.500 0.000 0.563
Ge1 0.000 0.000 0.719
```

***

Please write out number 8 again, unchanged.
Diffraction record for CeThGaGe. The powder X-ray diffraction pattern is simulated, not measured: it uses a crystal structure in Alexandria, relaxed with GGA-PBE and Cu Kα (weighted mean of Kα1 and Kα2).
Peak positions follow from Bragg's law for the DFT cell and can differ from measured ones.

Main lines, in order of rising 2θ (10 to 80 degrees two-theta):
2theta, intensity, index
27.04, 29.7, 1 0 2
30.78, 100.0, 1 1 1
31.34, 43.1, 0 1 3
32.06, 27.6, 0 0 4
38.47, 47.4, 1 1 3
39.08, 17.2, 1 0 4
40.58, 24.8, 0 2 0
44.34, 19.3, 2 0 0
55.30, 17.7, 2 1 3
61.66, 14.5, 2 2 0

Crystal structure
```
data_CeThGaGe
_cell_length_a 4.086
_cell_length_b 4.446
_cell_length_c 11.167
_cell_angle_alpha 90.00
_cell_angle_beta 90.00
_cell_angle_gamma 90.00
_space_group_name_H-M_alt 'A m m 2'
_space_group_IT_number 38
loop_
_space_group_symop_operation_xyz
'x,y,z'
'-x,-y,z'
'-x,y,z'
'x,-y,z'
'x,y+1/2,z+1/2'
'-x,-y+1/2,z+1/2'
'-x,y+1/2,z+1/2'
'x,-y+1/2,z+1/2'
loop_
_atom_site_label
_atom_site_fract_x
_atom_site_fract_y
_atom_site_fract_z
Ce1 0.000 0.000 0.000
Th1 0.500 0.000 0.281
Ga1 0.500 0.000 0.563
Ge1 0.000 0.000 0.719
```